Entry 1:
This entry pairs a crystal structure of AlIrN2 with its computed powder XRD pattern. Radiation: CuKα. Structure: a GGA-PBE-relaxed structure.
Lines closer than 0.1° are merged.

Most intense lines, 10° ≤ 2θ ≤ 80°, sorted by position:
- 2θ 14.62, I 100
- 2θ 29.49, I 35
- 2θ 36.63, I 51
- 2θ 37.65, I 70
- 2θ 41.54, I 41
- 2θ 44.26, I 17
- 2θ 50.97, I 15
- 2θ 54.85, I 25
- 2θ 63.50, I 17
- 2θ 65.27, I 16
- 2θ 67.29, I 13
- 2θ 73.21, I 17

Crystal structure
Lattice parameters (Å, degrees): 2.8592 2.8592 18.1721 90.00 90.00 120.00
Space group R-3m (No. 166, hexagonal axes)
Inequivalent atoms, fractional coordinates:
Al (0.0000, 0.0000, 0.0000) [3 per cell]
Ir (0.0000, 0.0000, 0.5000) [3 per cell]
N (0.0000, 0.0000, 0.3954) [6 per cell]

Entry 2:
This entry pairs a crystal structure of Nb6AlIr with its computed powder XRD pattern. Radiation: CuKα. Structure: a GGA-PBE-relaxed structure.
Lines closer than 0.1° are merged.

Most intense lines, 10° ≤ 2θ ≤ 80°, sorted by position:
- 2θ 17.10, I 29
- 2θ 29.84, I 9
- 2θ 34.59, I 33
- 2θ 38.82, I 100
- 2θ 42.70, I 73
- 2θ 52.96, I 8
- 2θ 59.07, I 5
- 2θ 61.98, I 6
- 2θ 64.81, I 21
- 2θ 67.58, I 37
- 2θ 72.96, I 14
- 2θ 75.59, I 4

Crystal structure
Lattice parameters (Å, degrees): 5.1868 5.1868 5.1868 90.00 90.00 90.00
Space group Pm-3 (No. 200)
Inequivalent atoms, fractional coordinates:
Nb (0.0000, 0.2525, 0.5000) [6 per cell]
Al (0.0000, 0.0000, 0.0000) [1 per cell]
Ir (0.5000, 0.5000, 0.5000) [1 per cell]